Structure and computed XRD peak list of Sr2TmWN4 (a PBE-relaxed structure; Cu Kα X-rays).
Intensities are scaled so that the largest is 100.

Cell and atoms:
a = 7.6006 Å, b = 6.9288 Å, c = 5.6623 Å
α = 90.00°, β = 90.00°, γ = 90.00°
Element x y z (fractional)
Sr (0.2457, 0.1634, 0.0000)
Sr (0.2543, 0.8366, 0.5000)
Sr (0.7457, 0.8366, 0.5000)
Sr (0.7543, 0.1634, 0.0000)
Tm (0.0000, 0.6634, 0.0140)
Tm (0.5000, 0.3366, 0.5140)
W (0.0000, 0.3520, 0.5318)
W (0.5000, 0.6480, 0.0318)
N (0.0000, 0.3769, 0.8611)
N (0.0000, 0.6059, 0.4017)
N (0.2132, 0.2179, 0.4609)
N (0.2868, 0.7821, 0.9609)
N (0.5000, 0.3941, 0.9017)
N (0.5000, 0.6231, 0.3611)
N (0.7132, 0.7821, 0.9609)
N (0.7868, 0.2179, 0.4609)

The 10 most intense peaks (5 to 70 degrees two-theta), in order of falling intensity:
31.14 deg, intensity 100; 30.24 deg, intensity 67; 26.76 deg, intensity 45; 31.60 deg, intensity 43; 45.98 deg, intensity 30; 56.87 deg, intensity 30; 57.68 deg, intensity 23; 41.87 deg, intensity 22; 55.45 deg, intensity 22; 55.99 deg, intensity 21